Starting from DFT lattice parameters and positions (PBE), the powder XRD pattern of Li3U3NiN8 was simulated for Cu Kα (λ = 1.5418 Å).
Neutral-atom scattering factors, no anomalous dispersion.

Largest 6 diffraction maxima, sorted by position, 2θ = 10–90°:
- (2 0 -1), 2θ 17.5, 5.062 Å, I = 100
- (2 0 1), 2θ 28.9, 3.089 Å, I = 26
- (0 2 1), 2θ 32.6, 2.745 Å, I = 40
- (2 2 0), 2θ 32.8, 2.729 Å, I = 33
- (4 0 0), 2θ 34.4, 2.607 Å, I = 23
- (2 2 -2), 2θ 41.3, 2.187 Å, I = 29

Atomic structure:
abc: 11.7275 6.4040 5.9996
angles: 90.00 117.23 90.00
Space group C2/m (No. 12)
One atom of each set of equivalent atoms:
Li 0.0000 0.0000 0.0000
Li 0.2500 0.2500 0.5000
U 0.0000 0.5000 0.5000
U 0.2500 0.2500 0.0000
Ni 0.0000 0.0000 0.5000
N 0.0378 0.2316 0.7423
N 0.2225 0.5000 0.1949
N 0.2220 0.5000 0.7282